Computed powder X-ray diffraction pattern of Gd2Te3 for Cu Kα, from a DFT-relaxed cell (PBE, OQMD).
Neutral-atom scattering factors, no anomalous dispersion.

Cell lengths 8.8018, 12.4131, 26.3298 Å; angles 90.00, 90.00, 90.00 degrees
Space group Fddd (No. 70, origin choice 2)
Asymmetric unit:
1 Gd 0.1250 0.1250 0.0421 (multiplicity 16)
2 Gd 0.1250 0.1250 0.3754 (multiplicity 16)
3 Te 0.1229 0.3750 0.8750 (multiplicity 16)
4 Te 0.1241 0.3752 0.2080 (multiplicity 32)

Top 8 peaks for 5 to 70 degrees two-theta, in order of rising 2θ:
2θ 12.78, I = 17
2θ 28.74, I = 100
2θ 41.09, I = 63
2θ 41.14, I = 13
2θ 50.87, I = 14
2θ 50.97, I = 14
2θ 59.52, I = 13
2θ 67.44, I = 29

---

Computed powder X-ray diffraction pattern of SrMg3Ir for Cu Kα, from a DFT-relaxed cell (PBE, OQMD).
Neutral-atom scattering factors, no anomalous dispersion.

Cell lengths 6.9599, 6.9599, 5.2759 Å; angles 90.00, 90.00, 90.00 degrees
Space group P4/nmm (No. 129, origin choice 2)
Asymmetric unit:
1 Sr 0.2500 0.7500 0.0000 (multiplicity 2)
2 Mg 0.0000 0.0000 0.5000 (multiplicity 4)
3 Mg 0.2500 0.2500 0.1367 (multiplicity 2)
4 Ir 0.2500 0.2500 0.6452 (multiplicity 2)

Top 8 peaks for 5 to 70 degrees two-theta, in order of rising 2θ:
2θ 18.02, I = 43
2θ 21.13, I = 62
2θ 24.74, I = 90
2θ 25.60, I = 74
2θ 33.43, I = 40
2θ 36.48, I = 100
2θ 44.61, I = 38
2θ 45.05, I = 45

---

Computed powder X-ray diffraction pattern of NaZr2CuF11 for Cu Kα, from a DFT-relaxed cell (PBE, OQMD).
Neutral-atom scattering factors, no anomalous dispersion.

Cell lengths 8.6694, 6.4967, 7.6399 Å; angles 90.00, 116.91, 90.00 degrees
Space group C2/m (No. 12)
Asymmetric unit:
1 Na 0.0000 0.0000 0.0000 (multiplicity 2)
2 Zr 0.0314 0.5000 0.2478 (multiplicity 4)
3 Cu 0.0000 0.0000 0.5000 (multiplicity 2)
4 F 0.0000 0.3201 0.0000 (multiplicity 4)
5 F 0.0000 0.5000 0.5000 (multiplicity 2)
6 F 0.0848 0.2029 0.3470 (multiplicity 8)
7 F 0.2164 0.0000 0.7202 (multiplicity 4)
8 F 0.2225 0.5000 0.8818 (multiplicity 4)

Top 8 peaks for 5 to 70 degrees two-theta, in order of rising 2θ:
2θ 17.83, I = 45
2θ 18.78, I = 36
2θ 23.01, I = 91
2θ 27.08, I = 100
2θ 27.46, I = 57
2θ 36.07, I = 38
2θ 48.31, I = 40
2θ 55.35, I = 33

---

Computed powder X-ray diffraction pattern of ZnGa2W6 for Cu Kα, from a DFT-relaxed cell (PBE, OQMD).
Neutral-atom scattering factors, no anomalous dispersion.

Cell lengths 7.7486, 7.7486, 2.7035 Å; angles 90.00, 90.00, 120.00 degrees
Space group P-62m (No. 189)
Asymmetric unit:
1 Zn 0.0000 0.0000 0.0000 (multiplicity 1)
2 Ga 0.3333 0.6667 0.5000 (multiplicity 2)
3 W 0.0000 0.3095 0.5000 (multiplicity 3)
4 W 0.0000 0.6461 0.0000 (multiplicity 3)

Top 8 peaks for 5 to 70 degrees two-theta, in order of rising 2θ:
2θ 22.95, I = 25
2θ 35.39, I = 9
2θ 40.32, I = 92
2θ 40.70, I = 100
2θ 42.96, I = 10
2θ 49.26, I = 5
2θ 58.63, I = 31
2θ 69.54, I = 7

---

Computed powder X-ray diffraction pattern of LiAl2Cu5 for Cu Kα, from a DFT-relaxed cell (PBE, OQMD).
Neutral-atom scattering factors, no anomalous dispersion.

Cell lengths 5.7830, 5.7830, 11.7973 Å; angles 90.00, 90.00, 90.00 degrees
Space group I4_1/amd (No. 141, origin choice 2)
Asymmetric unit:
1 Li 0.0000 0.2500 0.3750 (multiplicity 4)
2 Al 0.0000 0.2500 0.1247 (multiplicity 8)
3 Cu 0.0000 0.2500 0.8750 (multiplicity 4)
4 Cu 0.2478 0.0000 0.5000 (multiplicity 16)

Top 8 peaks for 5 to 70 degrees two-theta, in order of rising 2θ:
2θ 17.08, I = 13
2θ 30.30, I = 10
2θ 30.93, I = 18
2θ 43.85, I = 100
2θ 44.30, I = 48
2θ 54.62, I = 7
2θ 63.04, I = 8
2θ 64.45, I = 15

---

Computed powder X-ray diffraction pattern of MgFe2Sb for Cu Kα, from a DFT-relaxed cell (PBE, OQMD).
Neutral-atom scattering factors, no anomalous dispersion.

Cell lengths 6.1306, 6.1306, 6.1306 Å; angles 90.00, 90.00, 90.00 degrees
Space group Pm-3m (No. 221)
Asymmetric unit:
1 Mg 0.0000 0.0000 0.0000 (multiplicity 1)
2 Mg 0.0000 0.0000 0.5000 (multiplicity 3)
3 Fe 0.2596 0.2596 0.2596 (multiplicity 8)
4 Sb 0.0000 0.5000 0.5000 (multiplicity 3)
5 Sb 0.5000 0.5000 0.5000 (multiplicity 1)

Top 8 peaks for 5 to 70 degrees two-theta, in order of rising 2θ:
2θ 14.45, I = 30
2θ 25.16, I = 8
2θ 32.66, I = 9
2θ 41.67, I = 100
2θ 44.33, I = 8
2θ 49.30, I = 4
2θ 53.92, I = 6
2θ 60.40, I = 16

---

Computed powder X-ray diffraction pattern of Er4B3N4 for Cu Kα, from a DFT-relaxed cell (PBE, OQMD).
Neutral-atom scattering factors, no anomalous dispersion.

Cell lengths 3.3293, 3.4574, 11.6213 Å; angles 89.93, 81.82, 90.00 degrees
Space group P-1 (No. 2)
Asymmetric unit:
1 Er 0.0715 0.0001 0.3572 (multiplicity 2)
2 Er 0.3209 0.5002 0.8579 (multiplicity 2)
3 B 0.2324 0.0000 0.0353 (multiplicity 2)
4 B 0.5000 0.5000 0.5000 (multiplicity 1)
5 N 0.1671 0.9999 0.1663 (multiplicity 2)
6 N 0.4355 0.5000 0.6285 (multiplicity 2)

Top 8 peaks for 5 to 70 degrees two-theta, in order of rising 2θ:
2θ 26.93, I = 63
2θ 29.24, I = 48
2θ 31.10, I = 68
2θ 33.21, I = 57
2θ 34.94, I = 83
2θ 37.71, I = 100
2θ 46.90, I = 28
2θ 52.31, I = 39

---

Computed powder X-ray diffraction pattern of BeNiBiPt for Cu Kα, from a DFT-relaxed cell (PBE, OQMD).
Neutral-atom scattering factors, no anomalous dispersion.

Cell lengths 6.3317, 6.3317, 6.3317 Å; angles 90.00, 90.00, 90.00 degrees
Space group F-43m (No. 216)
Asymmetric unit:
1 Be 0.0000 0.0000 0.0000 (multiplicity 4)
2 Ni 0.2500 0.2500 0.7500 (multiplicity 4)
3 Bi 0.0000 0.0000 0.5000 (multiplicity 4)
4 Pt 0.2500 0.2500 0.2500 (multiplicity 4)

Top 6 peaks for 5 to 70 degrees two-theta, in order of rising 2θ:
2θ 24.35, I = 61
2θ 28.19, I = 1
2θ 40.29, I = 100
2θ 47.63, I = 32
2θ 58.29, I = 17
2θ 64.11, I = 14

---

Computed powder X-ray diffraction pattern of Dy2ErCo3Ni6 for Cu Kα, from a DFT-relaxed cell (PBE, OQMD).
Neutral-atom scattering factors, no anomalous dispersion.

Cell lengths 4.9121, 4.9121, 24.3513 Å; angles 90.00, 90.00, 120.00 degrees
Space group R-3m (No. 166, hexagonal axes)
Asymmetric unit:
1 Dy 0.0000 0.0000 0.1391 (multiplicity 6)
2 Er 0.0000 0.0000 0.0000 (multiplicity 3)
3 Co 0.0000 0.0000 0.3328 (multiplicity 6)
4 Co 0.0000 0.0000 0.5000 (multiplicity 3)
5 Ni 0.0015 0.5007 0.0813 (multiplicity 18)

Top 8 peaks for 5 to 70 degrees two-theta, in order of rising 2θ:
2θ 33.27, I = 57
2θ 36.29, I = 45
2θ 36.59, I = 56
2θ 42.67, I = 43
2θ 43.05, I = 100
2θ 63.77, I = 17
2θ 65.67, I = 16
2θ 69.40, I = 14

---

Computed powder X-ray diffraction pattern of Gd2AlGaCu4 for Cu Kα, from a DFT-relaxed cell (PBE, OQMD).
Neutral-atom scattering factors, no anomalous dispersion.

Cell lengths 4.2920, 4.2920, 8.7752 Å; angles 90.00, 90.00, 120.00 degrees
Space group P-3m1 (No. 164)
Asymmetric unit:
1 Gd 0.3333 0.6667 0.2512 (multiplicity 2)
2 Al 0.0000 0.0000 0.0000 (multiplicity 1)
3 Ga 0.0000 0.0000 0.5000 (multiplicity 1)
4 Cu 0.3333 0.6667 0.5773 (multiplicity 2)
5 Cu 0.3333 0.6667 0.9264 (multiplicity 2)

Top 8 peaks for 5 to 70 degrees two-theta, in order of rising 2θ:
2θ 23.94, I = 26
2θ 26.03, I = 31
2θ 31.55, I = 21
2θ 39.19, I = 100
2θ 42.11, I = 74
2θ 58.87, I = 29
2θ 60.34, I = 11
2θ 69.01, I = 10

---

Computed powder X-ray diffraction pattern of Tm3Mg3CdPt2 for Cu Kα, from a DFT-relaxed cell (PBE, OQMD).
Neutral-atom scattering factors, no anomalous dispersion.

Cell lengths 7.4490, 7.4490, 4.0881 Å; angles 90.00, 90.00, 120.00 degrees
Space group P-62m (No. 189)
Asymmetric unit:
1 Tm 0.0000 0.5767 0.0000 (multiplicity 3)
2 Mg 0.0000 0.2583 0.5000 (multiplicity 3)
3 Cd 0.0000 0.0000 0.0000 (multiplicity 1)
4 Pt 0.3333 0.6667 0.5000 (multiplicity 2)

Top 8 peaks for 5 to 70 degrees two-theta, in order of rising 2θ:
2θ 13.73, I = 33
2θ 23.89, I = 37
2θ 32.52, I = 83
2θ 35.45, I = 100
2θ 42.02, I = 28
2θ 43.20, I = 23
2θ 44.31, I = 22
2θ 51.02, I = 28

---

Computed powder X-ray diffraction pattern of Zn2Te3Pb for Cu Kα, from a DFT-relaxed cell (PBE, OQMD).
Neutral-atom scattering factors, no anomalous dispersion.

Cell lengths 4.2112, 14.2552, 11.2191 Å; angles 90.00, 90.00, 90.00 degrees
Space group Cmcm (No. 63)
Asymmetric unit:
1 Zn 0.0000 0.0000 0.0000 (multiplicity 4)
2 Zn 0.0000 0.4704 0.2500 (multiplicity 4)
3 Te 0.0000 0.0862 0.2500 (multiplicity 4)
4 Te 0.0000 0.3662 0.0555 (multiplicity 8)
5 Pb 0.0000 0.2344 0.7500 (multiplicity 4)

Top 8 peaks for 5 to 70 degrees two-theta, in order of rising 2θ:
2θ 26.92, I = 25
2θ 29.44, I = 100
2θ 29.70, I = 24
2θ 31.91, I = 33
2θ 32.61, I = 96
2θ 41.27, I = 19
2θ 42.95, I = 28
2θ 49.89, I = 35

---

Copy entry 2 word for word.
Computed powder X-ray diffraction pattern of SrMg3Ir for Cu Kα, from a DFT-relaxed cell (PBE, OQMD).
Neutral-atom scattering factors, no anomalous dispersion.

Cell lengths 6.9599, 6.9599, 5.2759 Å; angles 90.00, 90.00, 90.00 degrees
Space group P4/nmm (No. 129, origin choice 2)
Asymmetric unit:
1 Sr 0.2500 0.7500 0.0000 (multiplicity 2)
2 Mg 0.0000 0.0000 0.5000 (multiplicity 4)
3 Mg 0.2500 0.2500 0.1367 (multiplicity 2)
4 Ir 0.2500 0.2500 0.6452 (multiplicity 2)

Top 8 peaks for 5 to 70 degrees two-theta, in order of rising 2θ:
2θ 18.02, I = 43
2θ 21.13, I = 62
2θ 24.74, I = 90
2θ 25.60, I = 74
2θ 33.43, I = 40
2θ 36.48, I = 100
2θ 44.61, I = 38
2θ 45.05, I = 45